Diffraction record for PmZn2Pt6. The powder diffraction line list is computed, not measured: it uses a cell relaxed with PBE and Cu Ka.
Lines closer than 0.1° are merged.

Atomic structure:
Cell lengths 11.326, 11.326, 11.326 Å; angles 90.00, 90.00, 90.00 degrees
Space group Fd-3m (No. 227, origin choice 2)
One atom of each set of equivalent atoms:
Pm  0.125  0.125  0.125 (multiplicity 8)
Zn  0.000  0.000  0.500 (multiplicity 16)
Pt  0.120  0.375  0.375 (multiplicity 48)

Main lines, in order of rising 2θ (10 to 90 degrees two-theta):
2θ (°)  intensity
22.20  17
31.60  86
45.29  100
56.28  23
75.01  29
83.66  34

Diffraction record for Pm4Zn2Pt. The powder diffraction line list is computed, not measured: it uses a cell relaxed with PBE and Cu Ka.
Lines closer than 0.1° are merged.

Atomic structure:
```
data_Pm4Zn2Pt
_chemical_formula_sum 'Pm12 Zn6 Pt3'
_cell_length_a 5.1048
_cell_length_b 5.1048
_cell_length_c 24.9773
_cell_angle_alpha 90.00
_cell_angle_beta 90.00
_cell_angle_gamma 120.00
_space_group_name_H-M_alt 'R -3 m'
_space_group_IT_number 166
_space_group_name_Hall '-R 3 2"'
loop_
_atom_site_label
_atom_site_type_symbol
_atom_site_fract_x
_atom_site_fract_y
_atom_site_fract_z
Pm1 Pm 0.0000 0.0000 0.1237
Pm2 Pm 0.0000 0.0000 0.3744
Zn1 Zn 0.0000 0.0000 0.2460
Pt1 Pt 0.0000 0.0000 0.0000
```

Main lines, in order of rising 2θ (10 to 90 degrees two-theta):
2θ (°)  intensity
10.63  11
35.17  100
50.60  18
63.12  36
74.36  11
85.01  16

Diffraction record for PmZn3Pt3. The powder diffraction line list is computed, not measured: it uses a cell relaxed with PBE and Cu Ka.
Lines closer than 0.1° are merged.

Atomic structure:
```
data_PmZn3Pt3
_chemical_formula_sum 'Pm2 Zn6 Pt6'
_cell_length_a 8.1515
_cell_length_b 8.1515
_cell_length_c 4.3501
_cell_angle_alpha 90.00
_cell_angle_beta 90.00
_cell_angle_gamma 120.00
_space_group_name_H-M_alt 'P 63/m'
_space_group_IT_number 176
_space_group_name_Hall '-P 6c'
loop_
_atom_site_label
_atom_site_type_symbol
_atom_site_fract_x
_atom_site_fract_y
_atom_site_fract_z
Pm1 Pm 0.3333 0.6667 0.2500
Zn1 Zn 0.0104 0.7848 0.2500
Pt1 Pt 0.0512 0.6369 0.7500
```

Main lines, in order of rising 2θ (10 to 90 degrees two-theta):
2θ (°)  intensity
30.04  39
33.59  26
38.25  22
39.63  100
41.52  28
74.43  27

Diffraction record for PmZr2Pt. The powder diffraction line list is computed, not measured: it uses a cell relaxed with PBE and Cu Ka.
Lines closer than 0.1° are merged.

Atomic structure:
```
data_PmZr2Pt
_chemical_formula_sum 'Pm1 Zr2 Pt1'
_cell_length_a 3.438
_cell_length_b 3.438
_cell_length_c 7.744
_cell_angle_alpha 90.00
_cell_angle_beta 90.00
_cell_angle_gamma 90.00
_space_group_name_H-M_alt 'P 4/m m m'
_space_group_IT_number 123
_space_group_name_Hall '-P 4 2'
loop_
_atom_site_label
_atom_site_type_symbol
_atom_site_fract_x
_atom_site_fract_y
_atom_site_fract_z
Pm1 Pm 0.000 0.000 0.000
Zr1 Zr 0.500 0.500 0.297
Pt1 Pt 0.000 0.000 0.500
```

Main lines, in order of rising 2θ (10 to 90 degrees two-theta):
2θ (°)  intensity
11.43  14
34.90  100
36.98  48
53.29  17
61.20  14
65.30  33

Diffraction record for Pm3Pu. The powder diffraction line list is computed, not measured: it uses a cell relaxed with PBE and Cu Ka.
Lines closer than 0.1° are merged.

Atomic structure:
```
data_Pm3Pu
_chemical_formula_sum 'Pm3 Pu1'
_cell_length_a 5.069
_cell_length_b 5.069
_cell_length_c 5.069
_cell_angle_alpha 90.00
_cell_angle_beta 90.00
_cell_angle_gamma 90.00
_space_group_name_H-M_alt 'P m -3 m'
_space_group_IT_number 221
_space_group_name_Hall '-P 4 2 3'
loop_
_atom_site_label
_atom_site_type_symbol
_atom_site_fract_x
_atom_site_fract_y
_atom_site_fract_z
Pm1 Pm 0.000 0.000 0.500
Pu1 Pu 0.500 0.500 0.500
```

Main lines, in order of rising 2θ (10 to 90 degrees two-theta):
2θ (°)  intensity
30.54  100
35.41  51
50.95  36
60.58  44
83.04  18
85.71  17

Diffraction record for Pm3Pu. The powder diffraction line list is computed, not measured: it uses a cell relaxed with PBE and Cu Ka.
Lines closer than 0.1° are merged.

Atomic structure:
```
data_Pm3Pu
_chemical_formula_sum 'Pm3 Pu1'
_cell_length_a 3.578
_cell_length_b 5.839
_cell_length_c 6.284
_cell_angle_alpha 90.00
_cell_angle_beta 90.00
_cell_angle_gamma 90.00
_space_group_name_H-M_alt 'P m m 2'
_space_group_IT_number 25
loop_
_space_group_symop_operation_xyz
'x,y,z'
'-x,-y,z'
'-x,y,z'
'x,-y,z'
loop_
_atom_site_label
_atom_site_type_symbol
_atom_site_fract_x
_atom_site_fract_y
_atom_site_fract_z
Pm1 Pm 0.000 0.000 0.000
Pm2 Pm 0.000 0.500 0.331
Pm3 Pm 0.500 0.000 0.508
Pu1 Pu 0.500 0.500 0.829
```

Main lines, in order of rising 2θ (10 to 90 degrees two-theta):
2θ (°)  intensity
28.71  27
30.62  40
32.36  55
32.63  100
55.71  23
60.21  24

Diffraction record for Rb3Pm3PuTe8. The powder diffraction line list is computed, not measured: it uses a cell relaxed with PBE and Cu Ka.
Lines closer than 0.1° are merged.

Atomic structure:
```
data_Rb3Pm3PuTe8
_chemical_formula_sum 'Rb9 Pm9 Pu3 Te24'
_cell_length_a 9.1144
_cell_length_b 9.1144
_cell_length_c 26.1706
_cell_angle_alpha 90.00
_cell_angle_beta 90.00
_cell_angle_gamma 120.00
_space_group_name_H-M_alt 'R -3 m'
_space_group_IT_number 166
_space_group_name_Hall '-R 3 2"'
loop_
_atom_site_label
_atom_site_type_symbol
_atom_site_fract_x
_atom_site_fract_y
_atom_site_fract_z
Rb1 Rb 0.0000 0.5000 0.0000
Pm1 Pm 0.0000 0.5000 0.5000
Pu1 Pu 0.0000 0.0000 0.5000
Te1 Te 0.0000 0.0000 0.2348
Te2 Te 0.0067 0.5034 0.2326
```

Main lines, in order of rising 2θ (10 to 90 degrees two-theta):
2θ (°)  intensity
10.14  44
26.37  100
33.00  19
35.65  35
39.55  37
48.17  19

Diffraction record for Pm3PuRh3. The powder diffraction line list is computed, not measured: it uses a cell relaxed with PBE and Cu Ka.
Lines closer than 0.1° are merged.

Atomic structure:
```
data_Pm3PuRh3
_chemical_formula_sum 'Pm12 Pu4 Rh12'
_cell_length_a 9.539
_cell_length_b 10.211
_cell_length_c 7.042
_cell_angle_alpha 90.00
_cell_angle_beta 90.20
_cell_angle_gamma 90.00
_space_group_name_H-M_alt 'C 1 2/m 1'
_space_group_IT_number 12
loop_
_space_group_symop_operation_xyz
'x,y,z'
'-x,-y,-z'
'-x,y,-z'
'x,-y,z'
'x+1/2,y+1/2,z'
'-x+1/2,-y+1/2,-z'
'-x+1/2,y+1/2,-z'
'x+1/2,-y+1/2,z'
loop_
_atom_site_label
_atom_site_type_symbol
_atom_site_fract_x
_atom_site_fract_y
_atom_site_fract_z
Pm1 Pm 0.000 0.180 0.000
Pm2 Pm 0.000 0.262 0.500
Pm3 Pm 0.174 0.500 0.108
Pu1 Pu 0.231 0.000 0.373
Rh1 Rh 0.064 0.000 0.695
Rh2 Rh 0.245 0.261 0.778
```

Main lines, in order of rising 2θ (10 to 90 degrees two-theta):
2θ (°)  intensity
28.39  77
30.64  47
32.15  61
35.15  65
36.29  100
37.94  53

Diffraction record for PmPu5Rh3. The powder diffraction line list is computed, not measured: it uses a cell relaxed with PBE and Cu Ka.
Lines closer than 0.1° are merged.

Atomic structure:
```
data_PmPu5Rh3
_chemical_formula_sum 'Pm4 Pu20 Rh12'
_cell_length_a 12.125
_cell_length_b 8.002
_cell_length_c 9.827
_cell_angle_alpha 90.00
_cell_angle_beta 99.66
_cell_angle_gamma 90.00
_space_group_name_H-M_alt 'C 1 2/m 1'
_space_group_IT_number 12
loop_
_space_group_symop_operation_xyz
'x,y,z'
'-x,-y,-z'
'-x,y,-z'
'x,-y,z'
'x+1/2,y+1/2,z'
'-x+1/2,-y+1/2,-z'
'-x+1/2,y+1/2,-z'
'x+1/2,-y+1/2,z'
loop_
_atom_site_label
_atom_site_type_symbol
_atom_site_fract_x
_atom_site_fract_y
_atom_site_fract_z
Pm1 Pm 0.144 0.000 0.306
Pu1 Pu 0.000 0.319 0.000
Pu2 Pu 0.118 0.500 0.449
Pu3 Pu 0.135 0.187 0.709
Pu4 Pu 0.233 0.000 0.026
Rh1 Rh 0.000 0.000 0.000
Rh2 Rh 0.000 0.000 0.500
Rh3 Rh 0.080 0.500 0.752
Rh4 Rh 0.162 0.500 0.197
```

Main lines, in order of rising 2θ (10 to 90 degrees two-theta):
2θ (°)  intensity
29.19  100
32.81  32
34.55  49
35.37  40
39.94  31
40.72  31

Diffraction record for PmPuRh. The powder diffraction line list is computed, not measured: it uses a cell relaxed with PBE and Cu Ka.
Lines closer than 0.1° are merged.

Atomic structure:
```
data_PmPuRh
_chemical_formula_sum 'Pm12 Pu12 Rh12'
_cell_length_a 9.644
_cell_length_b 12.569
_cell_length_c 7.251
_cell_angle_alpha 90.00
_cell_angle_beta 90.00
_cell_angle_gamma 90.00
_space_group_name_H-M_alt 'I m a 2'
_space_group_IT_number 46
loop_
_space_group_symop_operation_xyz
'x,y,z'
'-x,-y,z'
'-x+1/2,y,z'
'x+1/2,-y,z'
'x+1/2,y+1/2,z+1/2'
'-x+1/2,-y+1/2,z+1/2'
'-x,y+1/2,z+1/2'
'x,-y+1/2,z+1/2'
loop_
_atom_site_label
_atom_site_type_symbol
_atom_site_fract_x
_atom_site_fract_y
_atom_site_fract_z
Pm1 Pm 0.250 0.000 0.000
Pm2 Pm 0.250 0.207 0.623
Pm3 Pm 0.250 0.708 0.123
Pu1 Pu 0.000 0.000 0.666
Pu2 Pu 0.000 0.125 0.290
Rh1 Rh 0.000 0.167 0.916
Rh2 Rh 0.250 0.501 0.915
```

Main lines, in order of rising 2θ (10 to 90 degrees two-theta):
2θ (°)  intensity
30.85  100
34.07  75
37.30  38
37.89  55
42.43  34
54.22  40

Diffraction record for PmPu6S8. The powder diffraction line list is computed, not measured: it uses a cell relaxed with PBE and Cu Ka.
Lines closer than 0.1° are merged.

Atomic structure:
```
data_PmPu6S8
_chemical_formula_sum 'Pm4 Pu24 S32'
_cell_length_a 11.239
_cell_length_b 11.239
_cell_length_c 11.239
_cell_angle_alpha 90.00
_cell_angle_beta 90.00
_cell_angle_gamma 90.00
_space_group_name_H-M_alt 'F m -3 m'
_space_group_IT_number 225
_space_group_name_Hall '-F 4 2 3'
loop_
_atom_site_label
_atom_site_type_symbol
_atom_site_fract_x
_atom_site_fract_y
_atom_site_fract_z
Pm1 Pm 0.000 0.000 0.000
Pu1 Pu 0.000 0.250 0.250
S1 S 0.000 0.000 0.251
S2 S 0.250 0.250 0.250
```

Main lines, in order of rising 2θ (10 to 90 degrees two-theta):
2θ (°)  intensity
27.49  94
31.85  100
45.66  74
54.13  48
75.69  34
84.45  26

Diffraction record for PmPuS4. The powder diffraction line list is computed, not measured: it uses a cell relaxed with PBE and Cu Ka.
Lines closer than 0.1° are merged.

Atomic structure:
```
data_PmPuS4
_chemical_formula_sum 'Pm2 Pu2 S8'
_cell_length_a 8.896
_cell_length_b 9.018
_cell_length_c 4.154
_cell_angle_alpha 90.00
_cell_angle_beta 90.00
_cell_angle_gamma 90.00
_space_group_name_H-M_alt 'C m m m'
_space_group_IT_number 65
_space_group_name_Hall '-C 2 2'
loop_
_atom_site_label
_atom_site_type_symbol
_atom_site_fract_x
_atom_site_fract_y
_atom_site_fract_z
Pm1 Pm 0.000 0.000 0.000
Pu1 Pu 0.000 0.500 0.500
S1 S 0.000 0.317 0.000
S2 S 0.208 0.000 0.500
```

Main lines, in order of rising 2θ (10 to 90 degrees two-theta):
2θ (°)  intensity
19.69  69
19.96  62
25.65  100
38.32  57
38.62  50
48.36  51

Diffraction record for Pm2PuSb3. The powder diffraction line list is computed, not measured: it uses a cell relaxed with PBE and Cu Ka.
Lines closer than 0.1° are merged.

Atomic structure:
```
data_Pm2PuSb3
_chemical_formula_sum 'Pm4 Pu2 Sb6'
_cell_length_a 4.481
_cell_length_b 6.316
_cell_length_c 13.392
_cell_angle_alpha 90.00
_cell_angle_beta 90.00
_cell_angle_gamma 90.00
_space_group_name_H-M_alt 'I m m m'
_space_group_IT_number 71
_space_group_name_Hall '-I 2 2'
loop_
_atom_site_label
_atom_site_type_symbol
_atom_site_fract_x
_atom_site_fract_y
_atom_site_fract_z
Pm1 Pm 0.000 0.000 0.168
Pu1 Pu 0.000 0.000 0.500
Sb1 Sb 0.000 0.500 0.163
Sb2 Sb 0.000 0.500 0.500
```

Main lines, in order of rising 2θ (10 to 90 degrees two-theta):
2θ (°)  intensity
28.23  100
40.37  64
49.91  14
50.04  14
66.13  30
73.46  13

Diffraction record for PmPu2Sb. The powder diffraction line list is computed, not measured: it uses a cell relaxed with PBE and Cu Ka.
Lines closer than 0.1° are merged.

Atomic structure:
```
data_PmPu2Sb
_chemical_formula_sum 'Pm1 Pu2 Sb1'
_cell_length_a 4.618
_cell_length_b 4.618
_cell_length_c 5.058
_cell_angle_alpha 90.00
_cell_angle_beta 90.00
_cell_angle_gamma 90.00
_space_group_name_H-M_alt 'P 4/m m m'
_space_group_IT_number 123
_space_group_name_Hall '-P 4 2'
loop_
_atom_site_label
_atom_site_type_symbol
_atom_site_fract_x
_atom_site_fract_y
_atom_site_fract_z
Pm1 Pm 0.000 0.000 0.000
Pu1 Pu 0.000 0.500 0.500
Sb1 Sb 0.500 0.500 0.000
```

Main lines, in order of rising 2θ (10 to 90 degrees two-theta):
2θ (°)  intensity
32.64  100
35.50  20
39.01  31
53.76  25
61.95  16
66.67  26